H3F2: computed powder diffraction line list (copper Kα), based on a DFT-relaxed cell (PBE, the Materials Project).
No peak broadening, texture or thermal motion is included.

Atomic structure:
a b c (Å): 4.3016 4.3605 6.0668
angles (deg): 79.57 79.45 77.15
Space group P1 (No. 1)
Inequivalent atoms, fractional coordinates:
1 H 0.0000 0.0000 0.0000 (multiplicity 1)
2 H 0.0062 0.5081 0.9665 (multiplicity 1)
3 H 0.4133 0.4177 0.5100 (multiplicity 1)
4 H 0.5011 0.8852 0.2166 (multiplicity 1)
5 H 0.5513 0.9079 0.3229 (multiplicity 1)
6 H 0.9066 0.4052 0.5451 (multiplicity 1)
7 F 0.0082 0.1841 0.0730 (multiplicity 1)
8 F 0.0111 0.7288 0.8888 (multiplicity 1)
9 F 0.2241 0.4271 0.4333 (multiplicity 1)
10 F 0.6860 0.3860 0.6253 (multiplicity 1)

Most intense lines, 15 to 90 degrees two-theta, in order of rising 2θ:
4.206 Å, 21.1°, I 70; 4.147 Å, 21.4°, I 72; 3.210 Å, 27.8°, I 92; 3.177 Å, 28.1°, I 100; 2.601 Å, 34.5°, I 50; 2.593 Å, 34.6°, I 48; 2.506 Å, 35.8°, I 57; 2.456 Å, 36.6°, I 52; 2.079 Å, 43.5°, I 39; 2.055 Å, 44.1°, I 50

HF: computed powder diffraction line list (copper Kα), based on a DFT-relaxed cell (PBE, the Materials Project).
No peak broadening, texture or thermal motion is included.

Atomic structure:
a b c (Å): 3.3375 4.4640 5.1810
angles (deg): 90.00 90.00 90.00
Space group Cmc2_1 (No. 36)
Inequivalent atoms, fractional coordinates:
1 H 0.0000 0.0522 0.0000 (multiplicity 4)
2 F 0.0000 0.2469 0.9265 (multiplicity 4)

Most intense lines, 15 to 90 degrees two-theta, in order of rising 2θ:
2.590 Å, 34.6°, I 35; 2.376 Å, 37.9°, I 100; 2.232 Å, 40.4°, I 17; 1.691 Å, 54.2°, I 13; 1.669 Å, 55.0°, I 7; 1.451 Å, 64.2°, I 14; 1.403 Å, 66.7°, I 6; 1.337 Å, 70.5°, I 4; 1.315 Å, 71.8°, I 8; 1.188 Å, 80.9°, I 5

H3F2: computed powder diffraction line list (copper Kα), based on a DFT-relaxed cell (PBE, the Materials Project).
No peak broadening, texture or thermal motion is included.

Atomic structure:
a b c (Å): 4.5236 4.5867 5.2588
angles (deg): 72.88 72.83 72.31
Space group P1 (No. 1)
Inequivalent atoms, fractional coordinates:
1 H 0.0000 0.0000 0.0000 (multiplicity 1)
2 H 0.0170 0.5156 0.9435 (multiplicity 1)
3 H 0.4328 0.4347 0.4764 (multiplicity 1)
4 H 0.5197 0.8983 0.1867 (multiplicity 1)
5 H 0.5471 0.9113 0.3156 (multiplicity 1)
6 H 0.9192 0.4135 0.5326 (multiplicity 1)
7 F 0.0153 0.1615 0.0781 (multiplicity 1)
8 F 0.0250 0.7323 0.8534 (multiplicity 1)
9 F 0.2674 0.4344 0.3920 (multiplicity 1)
10 F 0.7020 0.3947 0.6258 (multiplicity 1)

Most intense lines, 15 to 90 degrees two-theta, in order of rising 2θ:
4.258 Å, 20.9°, I 65; 4.198 Å, 21.2°, I 67; 2.906 Å, 30.8°, I 83; 2.881 Å, 31.0°, I 92; 2.461 Å, 36.5°, I 72; 2.361 Å, 38.1°, I 100; 2.353 Å, 38.3°, I 29; 2.208 Å, 40.9°, I 28; 2.136 Å, 42.3°, I 47; 2.110 Å, 42.8°, I 62

InH3F3: computed powder diffraction line list (copper Kα), based on a DFT-relaxed cell (PBE, the Materials Project).
No peak broadening, texture or thermal motion is included.

Atomic structure:
a b c (Å): 7.4887 4.6205 9.9248
angles (deg): 90.00 122.90 90.00
Space group P2/c (No. 13)
Inequivalent atoms, fractional coordinates:
1 In 0.0000 0.0675 0.2500 (multiplicity 2)
2 H 0.3561 0.0042 0.1064 (multiplicity 4)
3 H 0.5000 0.4200 0.2500 (multiplicity 2)
4 F 0.0000 0.4232 0.7500 (multiplicity 2)
5 F 0.2837 0.1040 0.6432 (multiplicity 4)

Most intense lines, 15 to 90 degrees two-theta, in order of rising 2θ:
4.913 Å, 18.1°, I 55; 4.620 Å, 19.2°, I 89; 4.167 Å, 21.3°, I 100; 3.723 Å, 23.9°, I 44; 3.631 Å, 24.5°, I 74; 3.094 Å, 28.9°, I 37; 2.836 Å, 31.5°, I 52; 2.493 Å, 36.0°, I 34; 2.456 Å, 36.6°, I 35; 2.169 Å, 41.6°, I 33

ZnInH14O7F5: computed powder diffraction line list (copper Kα), based on a DFT-relaxed cell (PBE, the Materials Project).
No peak broadening, texture or thermal motion is included.

Atomic structure:
a b c (Å): 6.6762 9.1066 9.1393
angles (deg): 102.88 97.97 96.36
Space group P-1 (No. 2)
Inequivalent atoms, fractional coordinates:
1 Zn 0.0000 0.0000 0.0000 (multiplicity 1)
2 Zn 0.0000 0.5000 0.5000 (multiplicity 1)
3 In 0.5000 0.0000 0.5000 (multiplicity 1)
4 In 0.5000 0.5000 0.0000 (multiplicity 1)
5 H 0.0344 0.2966 0.9807 (multiplicity 2)
6 H 0.0506 0.3311 0.2274 (multiplicity 2)
7 H 0.0607 0.0446 0.3128 (multiplicity 2)
8 H 0.1078 0.3579 0.7304 (multiplicity 2)
9 H 0.1185 0.2414 0.5706 (multiplicity 2)
10 H 0.1778 0.9728 0.7499 (multiplicity 2)
11 H 0.1925 0.7609 0.3528 (multiplicity 2)
12 H 0.1941 0.7503 0.9903 (multiplicity 2)
13 H 0.2594 0.4378 0.3043 (multiplicity 2)
14 H 0.3273 0.7293 0.6393 (multiplicity 2)
15 H 0.3828 0.5676 0.6652 (multiplicity 2)
16 H 0.3945 0.1510 0.0310 (multiplicity 2)
17 H 0.3956 0.0635 0.1622 (multiplicity 2)
18 H 0.3959 0.7092 0.2944 (multiplicity 2)
19 O 0.0382 0.3179 0.6216 (multiplicity 2)
20 O 0.0468 0.0004 0.7775 (multiplicity 2)
21 O 0.0479 0.7627 0.9632 (multiplicity 2)
22 O 0.1366 0.3832 0.3279 (multiplicity 2)
23 O 0.2892 0.6169 0.6052 (multiplicity 2)
24 O 0.3113 0.0749 0.0693 (multiplicity 2)
25 O 0.3287 0.8000 0.3295 (multiplicity 2)
26 F 0.1914 0.4103 0.9111 (multiplicity 2)
27 F 0.2356 0.1016 0.4776 (multiplicity 2)
28 F 0.4007 0.9166 0.6821 (multiplicity 2)
29 F 0.4366 0.7197 0.0052 (multiplicity 2)
30 F 0.4537 0.5300 0.2331 (multiplicity 2)

Most intense lines, 15 to 90 degrees two-theta, in order of rising 2θ:
4.864 Å, 18.2°, I 61; 4.778 Å, 18.6°, I 61; 4.735 Å, 18.7°, I 64; 4.391 Å, 20.2°, I 100; 3.876 Å, 22.9°, I 37; 3.566 Å, 25.0°, I 23; 3.270 Å, 27.3°, I 24; 2.866 Å, 31.2°, I 30; 2.831 Å, 31.6°, I 31; 2.186 Å, 41.3°, I 21

SrH4IrO2F6: computed powder diffraction line list (copper Kα), based on a DFT-relaxed cell (PBE, the Materials Project).
No peak broadening, texture or thermal motion is included.

Atomic structure:
a b c (Å): 6.2330 10.1785 12.0823
angles (deg): 90.00 111.76 90.00
Space group P2_1/c (No. 14)
Inequivalent atoms, fractional coordinates:
1 Sr 0.2070 0.1869 0.0493 (multiplicity 4)
2 H 0.2215 0.5901 0.6721 (multiplicity 4)
3 H 0.3300 0.6260 0.5774 (multiplicity 4)
4 H 0.3474 0.6531 0.9453 (multiplicity 4)
5 H 0.4633 0.1339 0.4275 (multiplicity 4)
6 Ir 0.1398 0.5353 0.2355 (multiplicity 4)
7 O 0.2032 0.5775 0.5880 (multiplicity 4)
8 O 0.4731 0.6985 0.0086 (multiplicity 4)
9 F 0.0015 0.6600 0.3137 (multiplicity 4)
10 F 0.0145 0.6400 0.0896 (multiplicity 4)
11 F 0.1523 0.5664 0.8123 (multiplicity 4)
12 F 0.2718 0.0662 0.8845 (multiplicity 4)
13 F 0.2785 0.0908 0.6598 (multiplicity 4)
14 F 0.4264 0.6416 0.2837 (multiplicity 4)

Most intense lines, 15 to 90 degrees two-theta, in order of rising 2θ:
5.789 Å, 15.3°, I 61; 5.611 Å, 15.8°, I 39; 5.269 Å, 16.8°, I 84; 5.088 Å, 17.4°, I 31; 4.122 Å, 21.6°, I 42; 3.769 Å, 23.6°, I 100; 3.610 Å, 24.7°, I 72; 2.960 Å, 30.2°, I 35; 2.054 Å, 44.1°, I 31; 1.967 Å, 46.1°, I 32

SrH4IrO2F6: computed powder diffraction line list (copper Kα), based on a DFT-relaxed cell (PBE, the Materials Project).
No peak broadening, texture or thermal motion is included.

Atomic structure:
a b c (Å): 6.6144 10.1969 11.7698
angles (deg): 90.00 110.11 90.00
Space group P2_1/c (No. 14)
Inequivalent atoms, fractional coordinates:
1 Sr 0.2478 0.2081 0.4525 (multiplicity 4)
2 H 0.0635 0.0666 0.1345 (multiplicity 4)
3 H 0.1040 0.7197 0.9281 (multiplicity 4)
4 H 0.1605 0.0234 0.1506 (multiplicity 4)
5 H 0.2119 0.6901 0.5427 (multiplicity 4)
6 Ir 0.3421 0.5386 0.2612 (multiplicity 4)
7 O 0.0833 0.7401 0.4982 (multiplicity 4)
8 O 0.4251 0.5334 0.9606 (multiplicity 4)
9 F 0.0947 0.6566 0.2257 (multiplicity 4)
10 F 0.1933 0.0631 0.6117 (multiplicity 4)
11 F 0.2039 0.0841 0.8398 (multiplicity 4)
12 F 0.4283 0.5863 0.7011 (multiplicity 4)
13 F 0.4809 0.6418 0.4123 (multiplicity 4)
14 F 0.4898 0.6541 0.1829 (multiplicity 4)

Most intense lines, 15 to 90 degrees two-theta, in order of rising 2θ:
5.526 Å, 16.0°, I 26; 5.447 Å, 16.3°, I 100; 4.630 Å, 19.2°, I 25; 4.553 Å, 19.5°, I 26; 4.313 Å, 20.6°, I 53; 3.941 Å, 22.6°, I 22; 3.747 Å, 23.7°, I 76; 3.557 Å, 25.0°, I 64; 2.764 Å, 32.4°, I 27; 2.216 Å, 40.7°, I 22

KH6F12: computed powder diffraction line list (copper Kα), based on a DFT-relaxed cell (PBE, the Materials Project).
No peak broadening, texture or thermal motion is included.

Atomic structure:
a b c (Å): 9.7070 17.9757 11.6324
angles (deg): 90.00 93.63 90.00
Space group C2/c (No. 15)
Inequivalent atoms, fractional coordinates:
1 K 0.2500 0.2500 0.0000 (multiplicity 4)
2 H 0.0917 0.2111 0.5066 (multiplicity 8)
3 H 0.1208 0.3765 0.7649 (multiplicity 8)
4 H 0.1954 0.1597 0.7592 (multiplicity 8)
5 F 0.0160 0.2432 0.4922 (multiplicity 8)
6 F 0.1185 0.3763 0.6838 (multiplicity 8)
7 F 0.1376 0.0808 0.0026 (multiplicity 8)
8 F 0.1932 0.0997 0.7373 (multiplicity 8)
9 F 0.2061 0.2233 0.7834 (multiplicity 8)
10 F 0.2154 0.4230 0.9911 (multiplicity 8)

Most intense lines, 15 to 90 degrees two-theta, in order of rising 2θ:
4.844 Å, 18.3°, I 78; 3.932 Å, 22.6°, I 48; 3.554 Å, 25.1°, I 57; 3.452 Å, 25.8°, I 56; 3.218 Å, 27.7°, I 54; 3.115 Å, 28.7°, I 90; 2.996 Å, 29.8°, I 86; 2.902 Å, 30.8°, I 100; 2.662 Å, 33.7°, I 31; 2.085 Å, 43.4°, I 47